For Li2HoMg4, a crystal structure in Alexandria, relaxed with PBE gives the simulated X-ray powder pattern in this record (Cu Kα, 1.54184 Å).
Lines closer than 0.1° are merged.

Main lines, by angle (2θ from 15° to 90°):
| Position (°2θ) | I/Imax | (hkl) |
| --- | --- | --- |
| 16.22 | 32 | 0 4 0 |
| 19.05 | 80 | 1 1 0 |
| 22.28 | 34 | 1 3 0 |
| 24.43 | 25 | 0 6 0 |
| 27.68 | 63 | 1 5 0 |
| 34.33 | 64 | 1 7 0 |
| 34.66 | 100 | 1 1 1 |
| 37.73 | 26 | 2 0 0 |
| 38.03 | 46 | 0 6 1 |
| 54.64 | 32 | 2 6 1 |
| 59.40 | 22 | 0 0 2 |
| 66.14 | 34 | 1 13 1 |

Cell and atoms:
Unit cell a=4.769 b=21.859 c=3.112 alpha=90.00 beta=90.00 gamma=90.00
Space group Cmmm (No. 65)
Symmetry-distinct sites (fractional):
Li 0.000 0.218 0.000 x4
Ho 0.000 0.500 0.500 x2
Mg 0.000 0.079 0.000 x4
Mg 0.000 0.347 0.500 x4